This entry pairs a crystal structure of Ti3V3N with its calculated X-ray diffraction stick pattern. Radiation: λ = 1.5418 Å (Cu Kα). Structure: a structure optimized by DFT (GGA-PBE).
Kinematic intensities with the Lorentz-polarization factor, no thermal factor.

Cell: 11.477 11.477 11.477 Å, 90.00 90.00 90.00°
Space group Fd-3m (No. 227, origin choice 2)
Inequivalent atoms, fractional coordinates:
Ti (0.059, 0.375, 0.375) (multiplicity 48)
V (0.000, 0.000, 0.500) (multiplicity 16)
V (0.042, 0.042, 0.708) (multiplicity 32)
N (0.000, 0.000, 0.000) (multiplicity 16)

Largest 10 diffraction maxima, by angle, 2θ = 10–80°:
2θ (°), Rel. int., index
13.36, 5.2, 1 1 1
34.05, 7.8, 3 3 1
38.43, 32.6, 4 2 2
40.86, 100.0, 3 3 3
44.67, 24.5, 4 4 0
47.54, 11.2, 4 4 2
52.92, 7.3, 6 2 2
57.33, 4.6, 7 1 1
69.50, 29.5, 6 6 0
71.15, 6.3, 5 5 5